Simulated powder X-ray diffraction pattern
Compound: TeWO6
Radiation: Cu Kα (weighted mean of Kα1 and Kα2)
Structure: the PBE+U geometry in Alexandria
Lines closer than 0.1° are merged.

Principal peaks in the range 2θ = 10–90°, low angle first:
Position (°2θ), Rel. int.
23.88, 100
33.56, 10
34.02, 37
48.88, 17
55.10, 27
61.53, 9

Atomic structure:
a = 5.197 Å, b = 5.341 Å, c = 9.089 Å
α = 90.00°, β = 124.85°, γ = 90.00°
Space group P2_1/c (No. 14)
Unique sites:
Te (0.000, 0.000, 0.000) (multiplicity 2)
W (0.500, 0.000, 0.500) (multiplicity 2)
O (0.153, 0.204, 0.453) (multiplicity 4)
O (0.250, 0.704, 0.452) (multiplicity 4)
O (0.345, 0.014, 0.249) (multiplicity 4)